No. 1
Sc2Ga2SiIr5: simulated powder XRD pattern (copper Kα), based on a cell relaxed with PBE.

Structural model:
```
Sc2Ga2SiIr5
1.0
9.5368 0.0000 0.0000
0.0000 9.5368 0.0000
0.0000 0.0000 3.4628
Sc Ga Si Ir
4 4 2 10
direct
0.1706 0.3294 0.0000
0.3294 0.8294 0.0000
0.6706 0.1706 0.0000
0.8294 0.6706 0.0000
0.1297 0.6297 0.0000
0.3703 0.1297 0.0000
0.6297 0.8703 0.0000
0.8703 0.3703 0.0000
0.0000 0.0000 0.0000
0.5000 0.5000 0.0000
0.0000 0.5000 0.5000
0.0646 0.8037 0.5000
0.1963 0.0646 0.5000
0.3037 0.5646 0.5000
0.4354 0.3037 0.5000
0.5000 0.0000 0.5000
0.5646 0.6963 0.5000
0.6963 0.4354 0.5000
0.8037 0.9354 0.5000
0.9354 0.1963 0.5000
```

Peak list (6 most intense, 2θ from 10° to 80°, sorted by position)
2theta	d [Å]	Rel. int.
20.83	4.265	31
25.73	3.463	51
38.94	2.313	48
39.63	2.274	100
43.03	2.102	50
47.26	1.923	35

***

No. 2
ScBe5: simulated powder XRD pattern (copper Kα), based on a cell relaxed with PBE.

Structural model:
```
ScBe5
1.0
4.5228 0.0000 0.0000
-2.2614 3.9169 0.0000
0.0000 0.0000 3.5194
Sc Be
1 5
direct
0.0000 0.0000 0.0000
0.0000 0.5000 0.5000
0.3333 0.6667 0.0000
0.5000 0.0000 0.5000
0.5000 0.5000 0.5000
0.6667 0.3333 0.0000
```

Peak list (6 most intense, 2θ from 10° to 80°, sorted by position)
2theta	d [Å]	Rel. int.
22.70	3.917	73
25.31	3.519	28
34.25	2.618	100
39.86	2.261	41
46.36	1.958	32
47.81	1.903	70

***

No. 3
KFeNiC6N6: simulated powder XRD pattern (copper Kα), based on a cell relaxed with PBE.

Structural model:
```
KFeNiC6N6
1.0
0.0000 5.1032 5.1032
5.1032 0.0000 5.1032
5.1032 5.1032 0.0000
K Fe Ni C N
1 1 1 6 6
direct
0.0000 0.0000 0.0000
0.7500 0.7500 0.7500
0.2500 0.2500 0.2500
0.5641 0.5641 0.9360
0.5641 0.9360 0.5641
0.5641 0.9360 0.9360
0.9360 0.5641 0.5641
0.9360 0.5641 0.9360
0.9360 0.9360 0.5641
0.0509 0.0509 0.4491
0.0509 0.4491 0.0509
0.0509 0.4491 0.4491
0.4491 0.0509 0.0509
0.4491 0.0509 0.4491
0.4491 0.4491 0.0509
```

Peak list (6 most intense, 2θ from 10° to 80°, sorted by position)
2theta	d [Å]	Rel. int.
17.38	5.103	100
24.67	3.609	70
35.17	2.552	51
39.48	2.282	21
50.59	1.804	22
57.07	1.614	24

***

No. 4
SrPdBr6: simulated powder XRD pattern (copper Kα), based on a cell relaxed with PBE.

Structural model:
```
SrPdBr6
1.0
5.6402 -4.3406 0.0000
5.6402 4.3406 0.0000
-0.0051 0.0000 10.7288
Sr Pd Br
2 2 12
direct
0.0077 0.9923 0.7500
0.9923 0.0077 0.2500
0.0000 0.5000 0.0000
0.5000 0.0000 0.5000
0.1513 0.2012 0.4976
0.1589 0.5602 0.1991
0.2012 0.1513 0.9976
0.2542 0.6133 0.8792
0.3867 0.7458 0.6208
0.4398 0.8411 0.3009
0.5602 0.1589 0.6991
0.6133 0.2542 0.3792
0.7458 0.3867 0.1208
0.7988 0.8487 0.0024
0.8411 0.4398 0.8009
0.8487 0.7988 0.5024
```

Peak list (6 most intense, 2θ from 10° to 80°, sorted by position)
2theta	d [Å]	Rel. int.
15.30	5.791	100
22.88	3.887	49
27.18	3.280	47
30.82	2.901	60
31.93	2.803	43
36.18	2.482	37

***

No. 5
CdIrAu2: simulated powder XRD pattern (copper Kα), based on a cell relaxed with PBE.

Structural model:
```
CdIrAu2
1.0
-2.0819 2.0819 4.0420
2.0819 -2.0819 4.0420
2.0819 2.0819 -4.0420
Cd Ir Au
1 1 2
direct
0.0000 0.0000 0.0000
0.2500 0.7500 0.5000
0.5000 0.5000 0.0000
0.7500 0.2500 0.5000
```

Peak list (6 most intense, 2θ from 10° to 80°, sorted by position)
2theta	d [Å]	Rel. int.
37.80	2.380	100
43.47	2.082	34
44.85	2.021	15
64.23	1.450	21
76.01	1.252	26
77.99	1.225	12

***

No. 6
K2NaPtO2: simulated powder XRD pattern (copper Kα), based on a cell relaxed with PBE.

Structural model:
```
K2NaPtO2
1.0
5.8297 0.0000 0.0000
0.0000 10.6763 0.0000
0.0000 0.0000 3.9643
K Na Pt O
4 2 2 4
direct
0.1234 0.2397 0.0000
0.3766 0.7397 0.5000
0.6234 0.2603 0.5000
0.8766 0.7603 0.0000
0.0000 0.5000 0.5000
0.5000 0.0000 0.0000
0.0000 0.0000 0.5000
0.5000 0.5000 0.0000
0.2148 0.5988 0.0000
0.2852 0.0988 0.5000
0.7148 0.9012 0.5000
0.7852 0.4012 0.0000
```

Peak list (6 most intense, 2θ from 10° to 80°, sorted by position)
2theta	d [Å]	Rel. int.
16.61	5.338	33
17.33	5.117	80
23.94	3.716	51
27.20	3.278	23
32.04	2.793	100
35.08	2.558	22

***

No. 7
SmMg2ReN4: simulated powder XRD pattern (copper Kα), based on a cell relaxed with PBE.

Structural model:
```
SmMg2ReN4
1.0
1.6474 -5.7907 0.0000
1.6474 5.7907 0.0000
0.0000 0.0000 11.0385
Sm Mg Re N
2 4 2 8
direct
0.0761 0.9239 0.7500
0.9239 0.0761 0.2500
0.3866 0.6134 0.5292
0.3866 0.6134 0.9708
0.6134 0.3866 0.0292
0.6134 0.3866 0.4708
0.1831 0.8169 0.2500
0.8169 0.1831 0.7500
0.0000 0.0000 0.0000
0.0000 0.0000 0.5000
0.2754 0.7246 0.1179
0.2754 0.7246 0.3821
0.4189 0.5811 0.7500
0.5811 0.4189 0.2500
0.7246 0.2754 0.6179
0.7246 0.2754 0.8821
```

Peak list (6 most intense, 2θ from 10° to 80°, sorted by position)
2theta	d [Å]	Rel. int.
16.06	5.519	100
31.96	2.801	43
32.44	2.760	32
32.58	2.748	44
36.77	2.444	39
39.61	2.275	30

***

No. 8
ZrCrAgS4: simulated powder XRD pattern (copper Kα), based on a cell relaxed with PBE.

Structural model:
```
ZrCrAgS4
1.0
6.1717 0.0000 0.0000
0.0000 7.1526 0.0000
-0.5663 0.0000 6.5589
Zr Cr Ag S
2 2 2 8
direct
0.0000 0.0000 0.0000
0.5000 0.2821 0.0000
0.0000 0.5139 0.0000
0.5000 0.7717 0.0000
0.0000 0.4956 0.5000
0.0000 0.9400 0.5000
0.1764 0.2739 0.2221
0.1999 0.7486 0.2146
0.3041 0.5352 0.7912
0.3254 0.0093 0.7788
0.6746 0.0093 0.2212
0.6959 0.5352 0.2088
0.8001 0.7486 0.7854
0.8236 0.2739 0.7779
```

Peak list (6 most intense, 2θ from 10° to 80°, sorted by position)
2theta	d [Å]	Rel. int.
14.41	6.149	79
28.88	3.091	88
38.37	2.346	80
39.17	2.300	59
40.98	2.202	100
51.38	1.778	56

***

No. 9
Ce2MgBe4Si3: simulated powder XRD pattern (copper Kα), based on a cell relaxed with PBE.

Structural model:
```
Ce2MgBe4Si3
1.0
4.0019 0.0000 0.0000
0.0000 4.0019 0.0000
0.0000 0.0000 9.7551
Ce Mg Be Si
2 1 4 3
direct
0.0000 0.5000 0.2351
0.5000 0.0000 0.7649
0.0000 0.0000 0.5000
0.0000 0.0000 0.0000
0.0000 0.5000 0.6445
0.5000 0.0000 0.3555
0.5000 0.5000 0.0000
0.0000 0.5000 0.8747
0.5000 0.0000 0.1253
0.5000 0.5000 0.5000
```

Peak list (6 most intense, 2θ from 10° to 80°, sorted by position)
2theta	d [Å]	Rel. int.
18.19	4.878	40
24.04	3.702	100
31.62	2.830	39
35.57	2.524	71
36.72	2.448	78
58.90	1.568	32

***

No. 10
ErGaCuNi: simulated powder XRD pattern (copper Kα), based on a cell relaxed with PBE.

Structural model:
```
ErGaCuNi
1.0
3.6469 -2.1044 0.0000
3.6469 2.1044 0.0000
-2.4200 0.0000 4.3958
Er Ga Cu Ni
1 1 1 1
direct
0.0000 0.0000 0.0000
0.4858 0.4858 0.4577
0.2086 0.2086 0.6261
0.7937 0.7937 0.3816
```

Peak list (6 most intense, 2θ from 10° to 80°, sorted by position)
2theta	d [Å]	Rel. int.
25.35	3.514	48
27.96	3.191	34
36.75	2.445	100
42.29	2.137	40
42.97	2.105	99
60.91	1.521	19

***

No. 11
Sr2IBrO: simulated powder XRD pattern (copper Kα), based on a cell relaxed with PBE.

Structural model:
```
Sr2IBrO
1.0
7.9932 -2.2208 0.0000
7.9932 2.2208 0.0000
-1.5821 0.0000 9.6501
Sr I Br O
4 2 2 2
direct
0.1598 0.1598 0.4553
0.3366 0.3366 0.2130
0.6634 0.6634 0.7870
0.8402 0.8402 0.5447
0.3241 0.3241 0.8545
0.6759 0.6759 0.1455
0.0341 0.0341 0.7128
0.9659 0.9659 0.2872
0.3080 0.3080 0.4341
0.6920 0.6920 0.5659
```

Peak list (6 most intense, 2θ from 10° to 80°, sorted by position)
2theta	d [Å]	Rel. int.
11.22	7.888	61
26.26	3.393	85
28.22	3.163	100
33.85	2.648	81
34.10	2.629	60
40.63	2.221	67

***

No. 12
LiMn3Cl9: simulated powder XRD pattern (copper Kα), based on a cell relaxed with PBE.

Structural model:
```
LiMn3Cl9
1.0
8.7258 -4.0948 0.0000
8.7258 4.0948 0.0000
-8.3236 0.0000 11.2592
Li Mn Cl
2 6 18
direct
0.0387 0.9613 0.5000
0.9613 0.0387 0.0000
0.2423 0.5057 0.6251
0.3117 0.9836 0.3525
0.5057 0.2423 0.1251
0.6374 0.8346 0.2379
0.8346 0.6374 0.7379
0.9836 0.3117 0.8525
0.0340 0.2495 0.6828
0.0445 0.7085 0.9067
0.0796 0.9790 0.3509
0.1725 0.6298 0.4988
0.1825 0.3904 0.0427
0.2495 0.0340 0.1828
0.3904 0.1825 0.5427
0.4175 0.4966 0.8037
0.4966 0.4175 0.3037
0.5549 0.7229 0.6058
0.6154 0.7285 0.3419
0.6298 0.1725 0.9988
0.6412 0.9361 0.1217
0.7085 0.0445 0.4067
0.7229 0.5549 0.1058
0.7285 0.6154 0.8419
0.9361 0.6412 0.6217
0.9790 0.0796 0.8509
```

Peak list (6 most intense, 2θ from 10° to 80°, sorted by position)
2theta	d [Å]	Rel. int.
12.62	7.013	46
16.68	5.315	100
16.94	5.235	26
19.25	4.612	34
24.01	3.707	28
25.50	3.493	21